No. 1
# SnCCl3
Calculated X-ray diffraction stick pattern, Cu Kα. Input: a cell relaxed with PBE.

Principal peaks in the range 2θ from 10° to 90°, by angle:
d [Å]	Position (°2θ)	I (rel.)	(hkl)
5.269	16.83	100	1 0 0
3.726	23.88	37	1 1 0
2.635	34.03	47	2 0 0
2.356	38.19	52	2 1 0
2.151	42.00	18	2 1 1
1.863	48.89	32	2 2 0
1.756	52.07	27	3 0 0
1.278	74.21	16	4 1 0

Crystal structure
```
data_SnCCl3
_chemical_formula_sum 'Sn1 C1 Cl3'
_cell_length_a 5.2691
_cell_length_b 5.2691
_cell_length_c 5.2691
_cell_angle_alpha 90.00
_cell_angle_beta 90.00
_cell_angle_gamma 90.00
_space_group_name_H-M_alt 'P m -3 m'
_space_group_IT_number 221
_space_group_name_Hall '-P 4 2 3'
loop_
_atom_site_label
_atom_site_fract_x
_atom_site_fract_y
_atom_site_fract_z
Sn1 0.0000 0.0000 0.0000
C1 0.5000 0.5000 0.5000
Cl1 0.0000 0.0000 0.5000
```



No. 2
# SnC2Cl2
Calculated X-ray diffraction stick pattern, Cu Kα. Input: a cell relaxed with PBE.

Principal peaks in the range 2θ from 10° to 90°, by angle:
d [Å]	Position (°2θ)	I (rel.)	(hkl)
6.843	12.94	42	0 1 1
5.687	15.58	62	0 2 0
4.493	19.76	75	1 0 1
3.526	25.26	100	1 2 1
3.422	26.04	42	0 2 2
2.403	37.43	36	1 4 1
2.281	39.51	40	0 3 3
1.725	53.09	32	2 3 3

Crystal structure
```
data_SnC2Cl2
_chemical_formula_sum 'Sn4 C8 Cl8'
_cell_length_a 5.2771
_cell_length_b 11.3739
_cell_length_c 8.5674
_cell_angle_alpha 90.00
_cell_angle_beta 90.00
_cell_angle_gamma 90.00
_space_group_name_H-M_alt 'I m m a'
_space_group_IT_number 74
_space_group_name_Hall '-I 2b 2'
loop_
_atom_site_label
_atom_site_fract_x
_atom_site_fract_y
_atom_site_fract_z
Sn1 0.0000 0.2500 0.0520
C1 0.1250 0.2500 0.7453
Cl1 0.0000 0.0798 0.2637
```